This entry pairs a crystal structure of K2Cu3Se4O12 with its theoretical X-ray diffraction stick pattern. Radiation: CuKα. Structure: a structure optimized by DFT (GGA-PBE).
Lines closer than 0.1° are merged.

Structure:
```
data_K2Cu3Se4O12
_cell_length_a 5.501
_cell_length_b 7.483
_cell_length_c 8.576
_cell_angle_alpha 96.21
_cell_angle_beta 108.39
_cell_angle_gamma 93.19
_space_group_name_H-M_alt 'P 1'
_space_group_IT_number 1
loop_
_space_group_symop_operation_xyz
'x,y,z'
loop_
_atom_site_label
_atom_site_type_symbol
_atom_site_fract_x
_atom_site_fract_y
_atom_site_fract_z
K1 K 0.152 0.084 0.300
K2 K 0.848 0.916 0.700
Cu1 Cu 0.000 0.500 0.000
Cu2 Cu 0.401 0.248 0.781
Cu3 Cu 0.599 0.752 0.219
Se1 Se 0.195 0.636 0.413
Se2 Se 0.424 0.685 0.871
Se3 Se 0.576 0.315 0.129
Se4 Se 0.805 0.364 0.587
O1 O 0.054 0.227 0.616
O2 O 0.113 0.471 0.240
O3 O 0.268 0.710 0.028
O4 O 0.275 0.262 0.972
O5 O 0.372 0.869 0.773
O6 O 0.442 0.777 0.393
O7 O 0.558 0.223 0.607
O8 O 0.628 0.131 0.227
O9 O 0.725 0.738 0.028
O10 O 0.732 0.290 0.972
O11 O 0.887 0.529 0.760
O12 O 0.946 0.773 0.384
```

Largest 12 diffraction maxima, in order of rising 2θ, 2θ = 5–70°:
- (0 1 0), 7.406 Å, 2θ = 11.95°, intensity 69
- (0 1 -1), 5.856 Å, 2θ = 15.13°, intensity 27
- (1 0 -1), 5.200 Å, 2θ = 17.05°, intensity 22
- (0 2 0), 3.703 Å, 2θ = 24.03°, intensity 32
- (0 1 2), 3.359 Å, 2θ = 26.53°, intensity 57
- (1 -2 0), 3.161 Å, 2θ = 28.23°, intensity 100
- (1 2 -1), 3.003 Å, 2θ = 29.75°, intensity 78
- (1 0 2), 2.782 Å, 2θ = 32.18°, intensity 78
- (2 0 -1), 2.746 Å, 2θ = 32.61°, intensity 61
- (1 -1 2), 2.733 Å, 2θ = 32.76°, intensity 26
- (1 1 -3), 2.684 Å, 2θ = 33.39°, intensity 31
- (2 -3 2), 1.623 Å, 2θ = 56.72°, intensity 27